(1)
# La4Pm5Y
Calculated powder XRD pattern, CuKα. Input: a DFT-relaxed cell (PBE, Alexandria).

Cell and atoms:
```
data_La4Pm5Y
_chemical_formula_sum 'La8 Pm10 Y2'
_cell_length_a 11.968
_cell_length_b 5.662
_cell_length_c 10.663
_cell_angle_alpha 90.00
_cell_angle_beta 90.16
_cell_angle_gamma 90.00
_symmetry_space_group_name_H-M 'C 1 2/m 1'
_symmetry_Int_Tables_number 12
_symmetry_space_group_name_Hall '-C 2y'
loop_
_atom_site_label
_atom_site_type_symbol
_atom_site_fract_x
_atom_site_fract_y
_atom_site_fract_z
_atom_site_occupancy
La1 La 0.046 0.000 0.248 1
La2 La 0.183 0.500 0.750 1
Pm1 Pm 0.000 0.500 0.500 1
Pm2 Pm 0.196 0.000 0.564 1
Pm3 Pm 0.196 0.000 0.936 1
Y1 Y 0.000 0.500 0.000 1
```

Principal peaks in the range 10 to 90 degrees two-theta, sorted by position:
2theta  I (rel.)  index
17.0  10  2 0 -1
24.1  13  1 1 -2
30.6  78  1 1 3
31.0  29  4 0 1
31.6  47  0 2 0
32.2  100  3 1 2
33.6  12  0 0 4
44.9  21  4 2 1
46.8  10  0 2 4
55.7  14  1 3 3
56.6  21  3 3 2
62.6  10  7 1 3

=====

(2)
# La8PmY3
Calculated powder XRD pattern, CuKα. Input: a DFT-relaxed cell (PBE, Alexandria).

Cell and atoms:
```
data_La8PmY3
_chemical_formula_sum 'La8 Pm1 Y3'
_cell_length_a 6.472
_cell_length_b 8.777
_cell_length_c 8.805
_cell_angle_alpha 79.43
_cell_angle_beta 68.46
_cell_angle_gamma 68.52
_symmetry_space_group_name_H-M 'P 1'
_symmetry_Int_Tables_number 1
_symmetry_space_group_name_Hall 'P 1'
loop_
_atom_site_label
_atom_site_type_symbol
_atom_site_fract_x
_atom_site_fract_y
_atom_site_fract_z
_atom_site_occupancy
La1 La 0.000 0.000 0.000 1
La2 La 0.000 0.332 0.669 1
La3 La 0.082 0.248 0.252 1
La4 La 0.082 0.581 0.921 1
La5 La 0.498 0.500 0.500 1
La6 La 0.498 0.833 0.169 1
La7 La 0.583 0.080 0.419 1
La8 La 0.583 0.747 0.751 1
Pm1 Pm 0.505 0.166 0.834 1
Y1 Y 0.003 0.666 0.334 1
Y2 Y 0.080 0.913 0.585 1
Y3 Y 0.578 0.415 0.087 1
```

Principal peaks in the range 10 to 90 degrees two-theta, sorted by position:
2theta  I (rel.)  index
27.5  29  1 2 -1
30.1  30  0 2 2
31.4  100  2 0 0
31.5  20  2 2 2
41.2  13  1 0 -3
48.7  16  3 0 3
54.2  8  1 2 5
54.3  9  -1 4 1
54.3  8  2 4 4
58.3  18  3 2 5
59.1  10  2 3 -3
59.2  10  2 5 -1

=====

(3)
# LaPm5Y6
Calculated powder XRD pattern, CuKα. Input: a DFT-relaxed cell (PBE, Alexandria).

Cell and atoms:
```
data_LaPm5Y6
_chemical_formula_sum 'La2 Pm10 Y12'
_cell_length_a 5.145
_cell_length_b 10.153
_cell_length_c 15.402
_cell_angle_alpha 90.00
_cell_angle_beta 90.00
_cell_angle_gamma 90.00
_symmetry_space_group_name_H-M 'I m m m'
_symmetry_Int_Tables_number 71
_symmetry_space_group_name_Hall '-I 2 2'
loop_
_atom_site_label
_atom_site_type_symbol
_atom_site_fract_x
_atom_site_fract_y
_atom_site_fract_z
_atom_site_occupancy
La1 La 0.000 0.000 0.000 1
Pm1 Pm 0.000 0.000 0.333 1
Pm2 Pm 0.000 0.500 0.000 1
Pm3 Pm 0.000 0.500 0.332 1
Y1 Y 0.000 0.248 0.500 1
Y2 Y 0.000 0.251 0.167 1
```

Principal peaks in the range 10 to 90 degrees two-theta, sorted by position:
2theta  I (rel.)  index
30.2  100  1 2 3
34.9  34  2 0 0
35.4  16  0 4 0
50.2  12  2 0 6
50.5  24  2 4 0
59.7  14  3 2 3
59.8  14  1 2 9
60.3  14  1 6 3
62.9  12  2 4 6
81.7  6  3 2 9
82.2  11  3 6 3
85.3  5  2 8 0

=====

(4)
# La4Pm4Y3
Calculated powder XRD pattern, CuKα. Input: a DFT-relaxed cell (PBE, Alexandria).

Cell and atoms:
```
data_La4Pm4Y3
_chemical_formula_sum 'La8 Pm8 Y6'
_cell_length_a 23.786
_cell_length_b 3.745
_cell_length_c 9.374
_cell_angle_alpha 90.00
_cell_angle_beta 111.07
_cell_angle_gamma 90.00
_symmetry_space_group_name_H-M 'C 1 2/m 1'
_symmetry_Int_Tables_number 12
_symmetry_space_group_name_Hall '-C 2y'
loop_
_atom_site_label
_atom_site_type_symbol
_atom_site_fract_x
_atom_site_fract_y
_atom_site_fract_z
_atom_site_occupancy
La1 La 0.124 0.000 0.484 1
La2 La 0.173 0.000 0.881 1
Pm1 Pm 0.016 0.000 0.827 1
Pm2 Pm 0.240 0.000 0.321 1
Y1 Y 0.000 0.500 0.500 1
Y2 Y 0.106 0.500 0.141 1
```

Principal peaks in the range 10 to 90 degrees two-theta, sorted by position:
2theta  I (rel.)  index
24.1  30  1 1 0
29.0  23  4 0 -3
30.1  100  8 0 -1
30.2  29  4 0 2
30.5  75  5 1 -1
30.7  65  0 0 3
31.5  31  6 0 -3
32.7  29  1 1 2
33.2  25  5 1 -2
48.6  26  0 2 0
55.2  25  3 1 -5
56.0  44  13 1 -2

=====

(5)
# LaPm2Y7
Calculated powder XRD pattern, CuKα. Input: a DFT-relaxed cell (PBE, Alexandria).

Cell and atoms:
```
data_LaPm2Y7
_chemical_formula_sum 'La1 Pm2 Y7'
_cell_length_a 6.235
_cell_length_b 6.246
_cell_length_c 9.541
_cell_angle_alpha 102.57
_cell_angle_beta 108.95
_cell_angle_gamma 99.58
_symmetry_space_group_name_H-M 'P -1'
_symmetry_Int_Tables_number 2
_symmetry_space_group_name_Hall '-P 1'
loop_
_atom_site_label
_atom_site_type_symbol
_atom_site_fract_x
_atom_site_fract_y
_atom_site_fract_z
_atom_site_occupancy
La1 La 0.000 0.000 0.000 1
Pm1 Pm 0.401 0.500 0.302 1
Y1 Y 0.000 0.500 0.500 1
Y2 Y 0.200 0.000 0.401 1
Y3 Y 0.202 0.500 0.899 1
Y4 Y 0.398 0.999 0.798 1
```

Principal peaks in the range 10 to 90 degrees two-theta, sorted by position:
2theta  I (rel.)  index
30.3  100  1 0 2
30.4  33  -2 1 1
35.2  67  2 1 -1
50.6  16  1 2 2
50.6  23  3 -1 1
50.7  8  3 0 -4
60.1  23  3 1 1
60.2  23  3 -3 1
60.3  9  4 0 -2
63.1  8  2 0 4
63.2  8  2 2 -6
85.1  9  5 0 0

=====

(6)
# LaPm4Y10
Calculated powder XRD pattern, CuKα. Input: a DFT-relaxed cell (PBE, Alexandria).

Cell and atoms:
```
data_LaPm4Y10
_chemical_formula_sum 'La2 Pm8 Y20'
_cell_length_a 12.958
_cell_length_b 12.958
_cell_length_c 6.596
_cell_angle_alpha 90.00
_cell_angle_beta 90.00
_cell_angle_gamma 90.00
_symmetry_space_group_name_H-M 'I 4/m'
_symmetry_Int_Tables_number 87
_symmetry_space_group_name_Hall '-I 4'
loop_
_atom_site_label
_atom_site_type_symbol
_atom_site_fract_x
_atom_site_fract_y
_atom_site_fract_z
_atom_site_occupancy
La1 La 0.000 0.000 0.000 1
Pm1 Pm 0.067 0.827 0.500 1
Y1 Y 0.000 0.500 0.250 1
Y2 Y 0.130 0.294 0.250 1
```

Principal peaks in the range 10 to 90 degrees two-theta, sorted by position:
2theta  I (rel.)  index
15.1  46  1 0 1
20.4  30  1 2 1
24.6  23  3 0 1
28.3  61  2 3 1
28.8  69  1 1 2
29.2  27  3 3 0
30.9  100  4 2 0
31.5  43  1 4 1
34.9  77  1 3 2
35.3  35  1 5 0
45.0  30  1 5 2
52.6  26  6 2 2

=====

(7)
# LaPm3Y4
Calculated powder XRD pattern, CuKα. Input: a DFT-relaxed cell (PBE, Alexandria).

Cell and atoms:
```
data_LaPm3Y4
_chemical_formula_sum 'La2 Pm6 Y8'
_cell_length_a 11.614
_cell_length_b 7.373
_cell_length_c 6.361
_cell_angle_alpha 90.00
_cell_angle_beta 90.00
_cell_angle_gamma 90.00
_symmetry_space_group_name_H-M 'P m n 21'
_symmetry_Int_Tables_number 31
_symmetry_space_group_name_Hall 'P 2ac -2'
loop_
_atom_site_label
_atom_site_type_symbol
_atom_site_fract_x
_atom_site_fract_y
_atom_site_fract_z
_atom_site_occupancy
La1 La 0.000 0.123 0.000 1
Pm1 Pm 0.000 0.873 0.501 1
Pm2 Pm 0.249 0.127 0.331 1
Y1 Y 0.000 0.378 0.497 1
Y2 Y 0.000 0.623 0.998 1
Y3 Y 0.249 0.623 0.334 1
```

Principal peaks in the range 10 to 90 degrees two-theta, sorted by position:
2theta  I (rel.)  index
28.0  24  0 2 1
30.8  25  4 0 0
32.0  100  2 0 2
42.1  16  4 2 1
49.4  7  0 4 0
49.6  13  0 2 3
55.5  21  6 0 2
59.4  8  4 4 0
59.5  15  4 2 3
60.2  11  2 4 2
85.2  5  8 2 3
89.9  5  10 0 2

=====

(8)
# La2Pm5Y5
Calculated powder XRD pattern, CuKα. Input: a DFT-relaxed cell (PBE, Alexandria).

Cell and atoms:
```
data_La2Pm5Y5
_chemical_formula_sum 'La4 Pm10 Y10'
_cell_length_a 15.417
_cell_length_b 5.138
_cell_length_c 11.514
_cell_angle_alpha 90.00
_cell_angle_beta 116.64
_cell_angle_gamma 90.00
_symmetry_space_group_name_H-M 'C 1 2/m 1'
_symmetry_Int_Tables_number 12
_symmetry_space_group_name_Hall '-C 2y'
loop_
_atom_site_label
_atom_site_type_symbol
_atom_site_fract_x
_atom_site_fract_y
_atom_site_fract_z
_atom_site_occupancy
La1 La 0.166 0.000 0.001 1
Pm1 Pm 0.000 0.000 0.500 1
Pm2 Pm 0.084 0.000 0.254 1
Pm3 Pm 0.249 0.000 0.747 1
Y1 Y 0.000 0.500 0.000 1
Y2 Y 0.082 0.500 0.747 1
Y3 Y 0.167 0.500 0.501 1
```

Principal peaks in the range 10 to 90 degrees two-theta, sorted by position:
2theta  I (rel.)  index
30.1  100  3 1 1
34.9  50  0 2 0
50.2  18  0 2 4
50.2  18  6 2 -2
59.6  21  9 1 -5
59.7  21  3 3 1
62.5  6  6 2 -6
62.6  6  6 2 2
81.5  6  3 3 -7
81.7  11  9 3 -1
84.2  5  12 0 -8
84.3  9  12 2 -4